Diffraction record for MnOF. The X-ray powder pattern is simulated, not measured: it uses a DFT-relaxed cell (PBE+U, Alexandria) and Cu Kα (λ = 1.5418 Å).
Lines closer than 0.1° are merged.

Most intense lines, 2θ = 5–70°, in order of rising 2θ:
2theta, intensity, hkl
24.57, 100.0, 0 1 2
30.07, 92.2, 1 1 1
30.39, 78.2, 1 1 -3
35.09, 20.2, 2 0 -2
35.87, 30.2, 1 2 -1
40.78, 21.9, 1 2 1
43.08, 17.4, 2 1 0
51.60, 18.1, 0 3 2
52.72, 23.7, 2 0 2
53.49, 51.7, 2 0 -6
53.87, 30.7, 1 2 -5
63.46, 26.7, 3 2 -3

Cell and atoms:
```
data_MnOF
_chemical_formula_sum 'Mn8 O8 F8'
_space_group_name_H-M_alt 'P 1 2/c 1'
_space_group_IT_number 13
_space_group_name_Hall '-P 2yc'
_cell_length_a 5.1145
_cell_length_b 5.7427
_cell_length_c 10.5865
_cell_angle_alpha 90.00
_cell_angle_beta 118.09
_cell_angle_gamma 90.00
loop_
_atom_site_label
_atom_site_type_symbol
_atom_site_fract_x
_atom_site_fract_y
_atom_site_fract_z
Mn1 Mn 0.0000 0.0972 0.2500
Mn2 Mn 0.2522 0.3491 0.9908
Mn3 Mn 0.5000 0.1994 0.7500
O1 O 0.0708 0.1447 0.6427
O2 O 0.4685 0.4133 0.8859
F1 F 0.0492 0.3444 0.1193
F2 F 0.4644 0.0822 0.3716
```